(1)
# SmZnNi
Theoretical XRD peak list, Cu Kα, 1.54184 Å. Input: a GGA-PBE-relaxed structure.
Peak positions follow from Bragg's law for the DFT cell and can differ from measured ones.

Structural model:
Unit cell a=7.1384 b=7.1384 c=3.8036 alpha=90.00 beta=90.00 gamma=120.00
Space group P-62m (No. 189)
One atom of each set of equivalent atoms:
Sm 0.0000 0.5873 0.0000 [3 per cell]
Zn 0.0000 0.2372 0.5000 [3 per cell]
Ni 0.0000 0.0000 0.0000 [1 per cell]
Ni 0.3333 0.6667 0.5000 [2 per cell]

Largest 12 diffraction maxima, sorted by position, 10 to 90 degrees two-theta:
3.569 Å, 24.95°, intensity 14, hkl 1 1 0
3.091 Å, 28.88°, intensity 17, hkl 2 0 0
2.603 Å, 34.46°, intensity 100, hkl 1 1 1
2.399 Å, 37.49°, intensity 88, hkl 2 0 1
2.337 Å, 38.53°, intensity 50, hkl 2 1 0
2.061 Å, 43.94°, intensity 19, hkl 3 0 0
1.902 Å, 47.83°, intensity 23, hkl 0 0 2
1.715 Å, 53.44°, intensity 17, hkl 3 1 0
1.563 Å, 59.10°, intensity 31, hkl 3 1 1
1.475 Å, 63.02°, intensity 23, hkl 2 1 2
1.329 Å, 70.92°, intensity 21, hkl 3 2 1
1.273 Å, 74.51°, intensity 13, hkl 3 1 2

---

(2)
# NiSn
Theoretical XRD peak list, Cu Kα, 1.54184 Å. Input: a GGA-PBE-relaxed structure.
Peak positions follow from Bragg's law for the DFT cell and can differ from measured ones.

Structural model:
Unit cell a=5.229 b=24.961 c=4.134 alpha=90.00 beta=90.00 gamma=90.00
Space group Pbam (No. 55)
One atom of each set of equivalent atoms:
Ni 0.000 0.000 0.000 [2 per cell]
Ni 0.000 0.500 0.000 [2 per cell]
Ni 0.003 0.141 0.500 [4 per cell]
Ni 0.213 0.755 0.500 [4 per cell]
Ni 0.217 0.606 0.000 [4 per cell]
Sn 0.001 0.339 0.500 [4 per cell]
Sn 0.053 0.210 0.000 [4 per cell]
Sn 0.222 0.910 0.000 [4 per cell]
Sn 0.245 0.039 0.500 [4 per cell]

Largest 12 diffraction maxima, sorted by position, 10 to 90 degrees two-theta:
3.022 Å, 29.56°, intensity 21, hkl 1 3 1
2.933 Å, 30.48°, intensity 21, hkl 0 6 1
2.878 Å, 31.08°, intensity 40, hkl 1 4 1
2.720 Å, 32.93°, intensity 21, hkl 1 5 1
2.559 Å, 35.07°, intensity 18, hkl 2 2 0
2.214 Å, 40.76°, intensity 39, hkl 2 6 0
2.137 Å, 42.30°, intensity 92, hkl 0 10 1
2.083 Å, 43.44°, intensity 100, hkl 2 4 1
2.067 Å, 43.79°, intensity 52, hkl 0 0 2
1.511 Å, 61.36°, intensity 23, hkl 2 6 2
1.197 Å, 80.22°, intensity 16, hkl 2 4 3
1.115 Å, 87.45°, intensity 16, hkl 4 10 1

---

(3)
# SrNi4Sn2
Theoretical XRD peak list, Cu Kα, 1.54184 Å. Input: a GGA-PBE-relaxed structure.
Peak positions follow from Bragg's law for the DFT cell and can differ from measured ones.

Structural model:
Unit cell a=7.886 b=7.886 c=7.805 alpha=90.00 beta=90.00 gamma=90.00
Space group I4/mcm (No. 140)
One atom of each set of equivalent atoms:
Sr 0.000 0.000 0.250 [4 per cell]
Ni 0.136 0.364 0.162 [16 per cell]
Sn 0.160 0.340 0.500 [8 per cell]

Largest 12 diffraction maxima, sorted by position, 10 to 90 degrees two-theta:
5.576 Å, 15.89°, intensity 19, hkl 1 1 0
3.214 Å, 27.76°, intensity 15, hkl 2 1 1
3.197 Å, 27.91°, intensity 13, hkl 1 1 2
2.774 Å, 32.28°, intensity 24, hkl 2 0 2
2.494 Å, 36.01°, intensity 76, hkl 3 1 0
2.094 Å, 43.21°, intensity 100, hkl 2 1 3
1.972 Å, 46.04°, intensity 14, hkl 4 0 0
1.858 Å, 49.02°, intensity 22, hkl 3 3 0
1.678 Å, 54.70°, intensity 11, hkl 3 3 2
1.674 Å, 54.84°, intensity 9, hkl 3 2 3
1.541 Å, 60.04°, intensity 12, hkl 4 1 3
1.276 Å, 74.33°, intensity 26, hkl 5 2 3

---

(4)
# SrNiSn2
Theoretical XRD peak list, Cu Kα, 1.54184 Å. Input: a GGA-PBE-relaxed structure.
Peak positions follow from Bragg's law for the DFT cell and can differ from measured ones.

Structural model:
Unit cell a=4.649 b=18.890 c=4.593 alpha=90.00 beta=90.00 gamma=90.00
Space group Cmcm (No. 63)
One atom of each set of equivalent atoms:
Sr 0.000 0.110 0.250 [4 per cell]
Ni 0.000 0.319 0.250 [4 per cell]
Sn 0.000 0.251 0.750 [4 per cell]
Sn 0.000 0.453 0.250 [4 per cell]

Largest 12 diffraction maxima, sorted by position, 10 to 90 degrees two-theta:
4.515 Å, 19.66°, intensity 11, hkl 1 1 0
2.932 Å, 30.49°, intensity 16, hkl 1 5 0
2.900 Å, 30.83°, intensity 100, hkl 1 3 1
2.597 Å, 34.54°, intensity 25, hkl 0 6 1
2.325 Å, 38.74°, intensity 28, hkl 2 0 0
2.297 Å, 39.23°, intensity 27, hkl 0 0 2
2.081 Å, 43.49°, intensity 22, hkl 1 7 1
1.913 Å, 47.53°, intensity 11, hkl 1 9 0
1.732 Å, 52.86°, intensity 15, hkl 2 6 1
1.634 Å, 56.31°, intensity 19, hkl 2 0 2
1.430 Å, 65.24°, intensity 12, hkl 3 3 1
1.417 Å, 65.92°, intensity 12, hkl 1 3 3

---

(5)
# TbNi3Sn2
Theoretical XRD peak list, Cu Kα, 1.54184 Å. Input: a GGA-PBE-relaxed structure.
Peak positions follow from Bragg's law for the DFT cell and can differ from measured ones.

Structural model:
Unit cell a=4.240 b=16.078 c=9.294 alpha=90.00 beta=90.00 gamma=90.00
Space group Amm2 (No. 38)
One atom of each set of equivalent atoms:
Tb 0.000 0.000 0.000 [2 per cell]
Tb 0.500 0.167 0.500 [4 per cell]
Ni 0.000 0.084 0.711 [4 per cell]
Ni 0.000 0.102 0.270 [4 per cell]
Ni 0.000 0.186 0.017 [4 per cell]
Ni 0.500 0.000 0.298 [2 per cell]
Ni 0.500 0.149 0.851 [4 per cell]
Sn 0.000 0.000 0.473 [2 per cell]
Sn 0.000 0.236 0.763 [4 per cell]
Sn 0.500 0.000 0.747 [2 per cell]
Sn 0.500 0.126 0.126 [4 per cell]

Largest 12 diffraction maxima, sorted by position, 10 to 90 degrees two-theta:
3.040 Å, 29.38°, intensity 19, hkl 0 1 3
2.918 Å, 30.64°, intensity 100, hkl 1 4 0
2.681 Å, 33.42°, intensity 29, hkl 0 6 0
2.471 Å, 36.36°, intensity 80, hkl 1 1 3
2.322 Å, 38.78°, intensity 52, hkl 0 6 2
2.266 Å, 39.78°, intensity 56, hkl 1 3 3
2.120 Å, 42.65°, intensity 52, hkl 2 0 0
2.037 Å, 44.49°, intensity 40, hkl 1 6 2
2.011 Å, 45.08°, intensity 18, hkl 0 8 0
1.692 Å, 54.21°, intensity 19, hkl 1 7 3
1.566 Å, 59.00°, intensity 30, hkl 2 6 2
1.431 Å, 65.20°, intensity 23, hkl 1 10 2

---

(6)
# TbNiSn4
Theoretical XRD peak list, Cu Kα, 1.54184 Å. Input: a GGA-PBE-relaxed structure.
Peak positions follow from Bragg's law for the DFT cell and can differ from measured ones.

Structural model:
Unit cell a=4.430 b=28.388 c=4.526 alpha=90.00 beta=90.00 gamma=90.00
Space group Cmmm (No. 65)
One atom of each set of equivalent atoms:
Tb 0.000 0.193 0.000 [4 per cell]
Ni 0.000 0.449 0.500 [4 per cell]
Sn 0.000 0.000 0.500 [2 per cell]
Sn 0.000 0.109 0.500 [4 per cell]
Sn 0.000 0.286 0.500 [4 per cell]
Sn 0.000 0.391 0.000 [4 per cell]
Sn 0.000 0.500 0.000 [2 per cell]

Largest 12 diffraction maxima, sorted by position, 10 to 90 degrees two-theta:
3.146 Å, 28.37°, intensity 27, hkl 1 1 1
3.002 Å, 29.76°, intensity 31, hkl 1 3 1
2.839 Å, 31.51°, intensity 45, hkl 0 10 0
2.765 Å, 32.38°, intensity 100, hkl 1 5 1
2.495 Å, 35.99°, intensity 87, hkl 1 7 1
2.263 Å, 39.84°, intensity 52, hkl 0 0 2
2.233 Å, 40.38°, intensity 54, hkl 1 9 1
2.215 Å, 40.74°, intensity 49, hkl 2 0 0
1.770 Å, 51.65°, intensity 23, hkl 0 10 2
1.746 Å, 52.40°, intensity 22, hkl 2 10 0
1.583 Å, 58.29°, intensity 34, hkl 2 0 2
1.382 Å, 67.79°, intensity 21, hkl 2 10 2

---

(7)
# TbNiSn2
Theoretical XRD peak list, Cu Kα, 1.54184 Å. Input: a GGA-PBE-relaxed structure.
Peak positions follow from Bragg's law for the DFT cell and can differ from measured ones.

Structural model:
Unit cell a=16.179 b=4.464 c=14.711 alpha=90.00 beta=90.00 gamma=90.00
Space group Pnma (No. 62)
One atom of each set of equivalent atoms:
Tb 0.126 0.250 0.227 [4 per cell]
Tb 0.146 0.750 0.603 [4 per cell]
Tb 0.151 0.250 0.973 [4 per cell]
Ni 0.052 0.750 0.106 [4 per cell]
Ni 0.193 0.250 0.746 [4 per cell]
Ni 0.200 0.250 0.453 [4 per cell]
Sn 0.019 0.750 0.922 [4 per cell]
Sn 0.032 0.250 0.736 [4 per cell]
Sn 0.044 0.250 0.448 [4 per cell]
Sn 0.176 0.750 0.369 [4 per cell]
Sn 0.183 0.750 0.823 [4 per cell]
Sn 0.215 0.750 0.104 [4 per cell]

Largest 12 diffraction maxima, sorted by position, 10 to 90 degrees two-theta:
3.056 Å, 29.22°, intensity 30, hkl 2 1 3
2.937 Å, 30.43°, intensity 20, hkl 4 1 1
2.796 Å, 32.01°, intensity 25, hkl 1 1 4
2.697 Å, 33.22°, intensity 18, hkl 6 0 0
2.678 Å, 33.46°, intensity 100, hkl 2 1 4
2.580 Å, 34.77°, intensity 94, hkl 5 1 1
2.512 Å, 35.75°, intensity 32, hkl 3 1 4
2.363 Å, 38.08°, intensity 37, hkl 6 0 3
2.232 Å, 40.41°, intensity 59, hkl 0 2 0
1.720 Å, 53.25°, intensity 23, hkl 6 2 0
1.689 Å, 54.31°, intensity 18, hkl 3 2 5
1.623 Å, 56.74°, intensity 24, hkl 6 2 3

---

Please write out number 4 again, unchanged.
# SrNiSn2
Theoretical XRD peak list, Cu Kα, 1.54184 Å. Input: a GGA-PBE-relaxed structure.
Peak positions follow from Bragg's law for the DFT cell and can differ from measured ones.

Structural model:
Unit cell a=4.649 b=18.890 c=4.593 alpha=90.00 beta=90.00 gamma=90.00
Space group Cmcm (No. 63)
One atom of each set of equivalent atoms:
Sr 0.000 0.110 0.250 [4 per cell]
Ni 0.000 0.319 0.250 [4 per cell]
Sn 0.000 0.251 0.750 [4 per cell]
Sn 0.000 0.453 0.250 [4 per cell]

Largest 12 diffraction maxima, sorted by position, 10 to 90 degrees two-theta:
4.515 Å, 19.66°, intensity 11, hkl 1 1 0
2.932 Å, 30.49°, intensity 16, hkl 1 5 0
2.900 Å, 30.83°, intensity 100, hkl 1 3 1
2.597 Å, 34.54°, intensity 25, hkl 0 6 1
2.325 Å, 38.74°, intensity 28, hkl 2 0 0
2.297 Å, 39.23°, intensity 27, hkl 0 0 2
2.081 Å, 43.49°, intensity 22, hkl 1 7 1
1.913 Å, 47.53°, intensity 11, hkl 1 9 0
1.732 Å, 52.86°, intensity 15, hkl 2 6 1
1.634 Å, 56.31°, intensity 19, hkl 2 0 2
1.430 Å, 65.24°, intensity 12, hkl 3 3 1
1.417 Å, 65.92°, intensity 12, hkl 1 3 3

---

Copy entry 2 word for word.
# NiSn
Theoretical XRD peak list, Cu Kα, 1.54184 Å. Input: a GGA-PBE-relaxed structure.
Peak positions follow from Bragg's law for the DFT cell and can differ from measured ones.

Structural model:
Unit cell a=5.229 b=24.961 c=4.134 alpha=90.00 beta=90.00 gamma=90.00
Space group Pbam (No. 55)
One atom of each set of equivalent atoms:
Ni 0.000 0.000 0.000 [2 per cell]
Ni 0.000 0.500 0.000 [2 per cell]
Ni 0.003 0.141 0.500 [4 per cell]
Ni 0.213 0.755 0.500 [4 per cell]
Ni 0.217 0.606 0.000 [4 per cell]
Sn 0.001 0.339 0.500 [4 per cell]
Sn 0.053 0.210 0.000 [4 per cell]
Sn 0.222 0.910 0.000 [4 per cell]
Sn 0.245 0.039 0.500 [4 per cell]

Largest 12 diffraction maxima, sorted by position, 10 to 90 degrees two-theta:
3.022 Å, 29.56°, intensity 21, hkl 1 3 1
2.933 Å, 30.48°, intensity 21, hkl 0 6 1
2.878 Å, 31.08°, intensity 40, hkl 1 4 1
2.720 Å, 32.93°, intensity 21, hkl 1 5 1
2.559 Å, 35.07°, intensity 18, hkl 2 2 0
2.214 Å, 40.76°, intensity 39, hkl 2 6 0
2.137 Å, 42.30°, intensity 92, hkl 0 10 1
2.083 Å, 43.44°, intensity 100, hkl 2 4 1
2.067 Å, 43.79°, intensity 52, hkl 0 0 2
1.511 Å, 61.36°, intensity 23, hkl 2 6 2
1.197 Å, 80.22°, intensity 16, hkl 2 4 3
1.115 Å, 87.45°, intensity 16, hkl 4 10 1